No. 1
Co2Se3: theoretical powder diffraction line list (Cu Ka), based on DFT lattice parameters and positions (GGA-PBE).

Most intense lines, 15° ≤ 2θ ≤ 90°, in order of rising 2θ:
d (Å), I (rel.)
5.124, 13
4.744, 7
2.646, 100
1.972, 54
1.784, 43
1.495, 18
1.479, 16
1.323, 14
1.146, 7
1.139, 14

Cell and atoms:
a b c (Å): 6.180 6.180 10.247
angles (deg): 90.00 90.00 120.00
Sites, in units of the cell vectors:
1 Co 0.000 0.000 0.000
2 Co 0.000 0.000 0.500
3 Co 0.333 0.667 0.009
4 Co 0.333 0.667 0.491
5 Co 0.333 0.667 0.750
6 Co 0.667 0.333 0.250
7 Co 0.667 0.333 0.509
8 Co 0.667 0.333 0.991
9 Se 0.006 0.335 0.881
10 Se 0.006 0.671 0.619
11 Se 0.329 0.335 0.619
12 Se 0.329 0.994 0.881
13 Se 0.335 0.006 0.381
14 Se 0.335 0.329 0.119
15 Se 0.665 0.671 0.881
16 Se 0.665 0.994 0.619
17 Se 0.671 0.006 0.119
18 Se 0.671 0.665 0.381
19 Se 0.994 0.329 0.381
20 Se 0.994 0.665 0.119

=====

No. 2
Rb2Gd4Cu4Te9: theoretical powder diffraction line list (Cu Ka), based on DFT lattice parameters and positions (GGA-PBE).

Most intense lines, 15° ≤ 2θ ≤ 90°, in order of rising 2θ:
d (Å), I (rel.)
3.507, 48
3.369, 38
3.349, 74
3.295, 100
3.275, 59
3.129, 51
3.095, 74
2.856, 45
2.319, 44
2.205, 86

Cell and atoms:
a b c (Å): 8.035 8.035 17.737
angles (deg): 107.55 107.55 31.85
Sites, in units of the cell vectors:
1 Rb 0.034 0.034 0.273
2 Rb 0.966 0.966 0.727
3 Gd 0.228 0.228 0.100
4 Gd 0.345 0.345 0.443
5 Gd 0.655 0.655 0.557
6 Gd 0.772 0.772 0.900
7 Cu 0.243 0.243 0.734
8 Cu 0.420 0.420 0.022
9 Cu 0.580 0.580 0.978
10 Cu 0.757 0.757 0.266
11 Te 0.000 0.000 0.500
12 Te 0.132 0.132 0.921
13 Te 0.301 0.301 0.605
14 Te 0.351 0.351 0.273
15 Te 0.398 0.398 0.869
16 Te 0.602 0.602 0.131
17 Te 0.649 0.649 0.727
18 Te 0.699 0.699 0.395
19 Te 0.868 0.868 0.079

=====

No. 3
Cu3AsSe4: theoretical powder diffraction line list (Cu Ka), based on DFT lattice parameters and positions (GGA-PBE).

Most intense lines, 15° ≤ 2θ ≤ 90°, in order of rising 2θ:
d (Å), I (rel.)
3.233, 100
1.985, 24
1.977, 48
1.692, 29
1.682, 14
1.404, 8
1.288, 6
1.282, 6
1.145, 8
1.144, 8

Cell and atoms:
a b c (Å): 6.836 6.836 5.617
angles (deg): 114.15 114.15 48.48
Sites, in units of the cell vectors:
1 Cu 0.000 0.000 0.000
2 Cu 0.248 0.252 0.749
3 Cu 0.748 0.752 0.251
4 As 0.497 0.503 0.500
5 Se 0.112 0.627 0.113
6 Se 0.373 0.888 0.887
7 Se 0.626 0.117 0.627
8 Se 0.883 0.374 0.373

=====

No. 4
La2NdAl2Ni4: theoretical powder diffraction line list (Cu Ka), based on DFT lattice parameters and positions (GGA-PBE).

Most intense lines, 15° ≤ 2θ ≤ 90°, in order of rising 2θ:
d (Å), I (rel.)
3.432, 100
2.912, 35
2.758, 27
2.625, 52
2.591, 33
2.524, 27
2.345, 67
2.319, 41
2.188, 40
2.096, 42

Cell and atoms:
a b c (Å): 5.523 5.523 8.371
angles (deg): 98.00 98.00 44.61
Sites, in units of the cell vectors:
1 La 0.124 0.124 0.379
2 La 0.876 0.876 0.621
3 Nd 0.500 0.500 0.000
4 Al 0.178 0.178 0.792
5 Al 0.822 0.822 0.208
6 Ni 0.236 0.236 0.087
7 Ni 0.414 0.414 0.359
8 Ni 0.586 0.586 0.641
9 Ni 0.764 0.764 0.913

=====

No. 5
DyErFe6Ni2B2: theoretical powder diffraction line list (Cu Ka), based on DFT lattice parameters and positions (GGA-PBE).

Most intense lines, 15° ≤ 2θ ≤ 90°, in order of rising 2θ:
d (Å), I (rel.)
4.330, 18
2.737, 91
2.500, 34
2.356, 19
2.165, 66
2.041, 100
1.485, 28
1.443, 22
1.336, 24
1.250, 19

Cell and atoms:
a b c (Å): 5.000 5.000 7.063
angles (deg): 90.00 90.00 120.00
Sites, in units of the cell vectors:
1 Dy 0.000 0.000 0.000
2 Er 0.000 0.000 0.500
3 Fe 0.000 0.500 0.214
4 Fe 0.000 0.500 0.786
5 Fe 0.500 0.000 0.214
6 Fe 0.500 0.000 0.786
7 Fe 0.500 0.500 0.214
8 Fe 0.500 0.500 0.786
9 Ni 0.333 0.667 0.500
10 Ni 0.667 0.333 0.500
11 B 0.333 0.667 0.000
12 B 0.667 0.333 0.000

=====

No. 6
Zr4Sb3W2C3: theoretical powder diffraction line list (Cu Ka), based on DFT lattice parameters and positions (GGA-PBE).

Most intense lines, 15° ≤ 2θ ≤ 90°, in order of rising 2θ:
d (Å), I (rel.)
2.970, 37
2.472, 100
2.462, 49
2.220, 22
1.716, 23
1.713, 11
1.410, 15
1.406, 9
1.360, 12
1.356, 9

Cell and atoms:
a b c (Å): 5.938 5.938 13.736
angles (deg): 102.16 102.16 60.09
Sites, in units of the cell vectors:
1 Zr 0.036 0.190 0.092
2 Zr 0.130 0.304 0.408
3 Zr 0.190 0.036 0.592
4 Zr 0.304 0.130 0.908
5 Zr 0.696 0.870 0.092
6 Zr 0.810 0.964 0.408
7 Zr 0.870 0.696 0.592
8 Zr 0.964 0.810 0.908
9 Sb 0.111 0.889 0.250
10 Sb 0.271 0.416 0.749
11 Sb 0.416 0.271 0.249
12 Sb 0.584 0.729 0.751
13 Sb 0.729 0.584 0.251
14 Sb 0.889 0.111 0.750
15 W 0.345 0.524 0.074
16 W 0.476 0.655 0.426
17 W 0.524 0.345 0.574
18 W 0.655 0.476 0.926
19 C 0.000 0.500 0.000
20 C 0.180 0.660 0.500
21 C 0.340 0.820 0.000
22 C 0.500 0.000 0.500
23 C 0.660 0.180 0.000
24 C 0.820 0.340 0.500

=====

No. 7
DyTm2Lu4Ni2Te2: theoretical powder diffraction line list (Cu Ka), based on DFT lattice parameters and positions (GGA-PBE).

Most intense lines, 15° ≤ 2θ ≤ 90°, in order of rising 2θ:
d (Å), I (rel.)
3.052, 23
2.909, 74
2.674, 83
2.595, 100
2.562, 55
2.549, 25
2.424, 24
1.906, 30
1.758, 27
1.552, 38

Cell and atoms:
a b c (Å): 9.182 9.182 9.182
angles (deg): 156.04 67.21 118.26
Sites, in units of the cell vectors:
1 Dy 0.000 0.000 0.000
2 Tm 0.447 0.582 0.865
3 Tm 0.716 0.582 0.135
4 Lu 0.062 0.376 0.686
5 Lu 0.082 0.729 0.353
6 Lu 0.376 0.729 0.647
7 Lu 0.691 0.376 0.314
8 Ni 0.305 0.069 0.236
9 Ni 0.833 0.069 0.764
10 Te 0.338 0.338 0.000
11 Te 0.733 0.233 0.500

=====

No. 8
Pa2Re2O5: theoretical powder diffraction line list (Cu Ka), based on DFT lattice parameters and positions (GGA-PBE).

Most intense lines, 15° ≤ 2θ ≤ 90°, in order of rising 2θ:
d (Å), I (rel.)
2.823, 72
2.637, 100
2.200, 9
2.019, 12
1.996, 37
1.802, 8
1.592, 45
1.412, 12
1.263, 13
1.245, 10

Cell and atoms:
a b c (Å): 3.993 3.993 7.022
angles (deg): 90.00 90.00 90.00
Sites, in units of the cell vectors:
1 Pa 0.000 0.000 0.000
2 Pa 0.000 0.000 0.500
3 Re 0.500 0.500 0.190
4 Re 0.500 0.500 0.810
5 O 0.000 0.500 0.256
6 O 0.000 0.500 0.744
7 O 0.500 0.000 0.256
8 O 0.500 0.000 0.744
9 O 0.500 0.500 0.500

=====

No. 9
ErInFeNi: theoretical powder diffraction line list (Cu Ka), based on DFT lattice parameters and positions (GGA-PBE).

Most intense lines, 15° ≤ 2θ ≤ 90°, in order of rising 2θ:
d (Å), I (rel.)
2.874, 100
2.663, 20
2.504, 26
2.361, 30
2.351, 65
2.136, 23
2.045, 19
2.038, 18
2.020, 30
1.535, 15

Cell and atoms:
a b c (Å): 5.009 4.039 7.083
angles (deg): 90.00 90.00 90.00
Sites, in units of the cell vectors:
1 Er 0.250 0.000 0.214
2 Er 0.750 0.000 0.786
3 In 0.250 0.500 0.852
4 In 0.750 0.500 0.148
5 Fe 0.250 0.000 0.589
6 Fe 0.750 0.000 0.411
7 Ni 0.000 0.500 0.500
8 Ni 0.500 0.500 0.500

=====

No. 10
NdSc2In3PtAu2: theoretical powder diffraction line list (Cu Ka), based on DFT lattice parameters and positions (GGA-PBE).

Most intense lines, 15° ≤ 2θ ≤ 90°, in order of rising 2θ:
d (Å), I (rel.)
3.853, 46
3.339, 46
2.725, 49
2.526, 50
2.517, 100
2.229, 31
2.215, 50
2.110, 59
1.927, 45
1.454, 32

Cell and atoms:
a b c (Å): 3.855 7.705 7.705
angles (deg): 120.41 90.00 90.00
Sites, in units of the cell vectors:
1 Nd 0.000 0.000 0.000
2 Sc 0.000 0.401 0.798
3 Sc 0.000 0.798 0.401
4 In 0.500 0.144 0.407
5 In 0.500 0.407 0.144
6 In 0.500 0.660 0.660
7 Pt 0.000 0.409 0.409
8 Au 0.500 0.073 0.726
9 Au 0.500 0.726 0.073